Starting from a DFT-relaxed cell (GGA+U, Alexandria), the PXRD pattern of FeAs2O7 was simulated for Cu Kα (weighted mean of Kα1 and Kα2).
Intensities are scaled so that the largest is 100.

Main lines, most intense first (2θ from 10° to 80°):
- 27.9°, d 3.202, intensity 100
- 29.0°, d 3.077, intensity 81
- 21.6°, d 4.119, intensity 80
- 28.8°, d 3.095, intensity 80
- 34.6°, d 2.592, intensity 33
- 17.1°, d 5.184, intensity 32
- 36.4°, d 2.465, intensity 29
- 42.1°, d 2.145, intensity 27

Structure:
```
10
Lattice="3.4289 -4.1191 0.0000 3.4289 4.1191 0.0000 -1.1222 0.0000 4.6908" Properties=species:S:1:pos:R:3 pbc="T T T"
Fe 0.0000 0.0000 0.0000
As 1.3441 -1.2222 2.7957
As 4.3914 -1.2222 1.8951
O 1.8569 2.6869 3.3435
O 0.7430 -0.1414 3.9791
O 3.8786 2.6869 1.3473
O 2.8678 -0.4108 2.3454
O 1.6913 -2.7778 3.3792
O 4.9925 -0.1414 0.7117
O 4.0442 -2.7778 1.3116
```